Diffraction record for TmBePd4. The PXRD pattern is simulated, not measured: it uses a cell relaxed with PBE and CuKα.
No peak broadening, texture or thermal motion is included.

Cell and atoms:
Unit cell a=4.755 b=4.755 c=7.404 alpha=110.34 beta=110.34 gamma=40.28
Atoms (fractional coordinates):
Tm1 0.000 0.000 0.000
Be1 0.500 0.500 0.500
Pd1 0.121 0.121 0.402
Pd2 0.338 0.338 0.178
Pd3 0.662 0.662 0.822
Pd4 0.879 0.879 0.598

Top 10 peaks for 10° ≤ 2θ ≤ 80°, low angle first:
Position (°2θ)	Rel. int.
29.32	43
30.44	58
33.77	46
36.66	47
37.13	71
39.77	79
40.52	43
40.99	100
46.21	54
69.24	47